(1)
Diffraction record for PuAsPd6. The powder diffraction line list is computed, not measured: it uses a PBE-relaxed structure and Cu Kα, 1.54184 Å.
Intensities are scaled so that the largest is 100.

Unit cell a=5.624 b=5.624 c=5.621 alpha=109.21 beta=109.21 gamma=109.11
Positions (direct):
Pu: 0.000 0.000 0.000
As: 0.500 0.500 0.500
Pd: 0.247 0.247 0.722
Pd: 0.247 0.722 0.247
Pd: 0.278 0.753 0.753
Pd: 0.722 0.247 0.247
Pd: 0.753 0.278 0.753
Pd: 0.753 0.753 0.278

Largest 10 diffraction maxima, in order of rising 2θ, 2θ from 5° to 70°:
- 19.16°, I = 10.4
- 19.37°, I = 6.0
- 33.39°, I = 47.8
- 33.76°, I = 23.3
- 38.89°, I = 12.2
- 39.32°, I = 100.0
- 43.80°, I = 48.0
- 52.51°, I = 24.5
- 60.31°, I = 16.5
- 67.53°, I = 7.5

=====

(2)
Diffraction record for Pu3As2Pd7. The powder diffraction line list is computed, not measured: it uses a PBE-relaxed structure and Cu Kα, 1.54184 Å.
Intensities are scaled so that the largest is 100.

Unit cell a=9.124 b=9.124 c=9.124 alpha=35.33 beta=35.33 gamma=35.33
Positions (direct):
Pu: 0.000 0.000 0.000
Pu: 0.144 0.144 0.144
Pu: 0.856 0.856 0.856
As: 0.331 0.331 0.331
As: 0.669 0.669 0.669
Pd: 0.079 0.582 0.582
Pd: 0.418 0.418 0.921
Pd: 0.418 0.921 0.418
Pd: 0.500 0.500 0.500
Pd: 0.582 0.079 0.582
Pd: 0.582 0.582 0.079
Pd: 0.921 0.418 0.418

Largest 10 diffraction maxima, in order of rising 2θ, 2θ from 5° to 70°:
- 30.72°, I = 46.4
- 32.33°, I = 43.4
- 33.64°, I = 29.6
- 37.67°, I = 42.4
- 38.75°, I = 100.0
- 42.31°, I = 14.4
- 56.66°, I = 17.5
- 61.98°, I = 25.4
- 63.98°, I = 19.5
- 67.67°, I = 24.2

=====

(3)
Diffraction record for Pu2AsPd. The powder diffraction line list is computed, not measured: it uses a PBE-relaxed structure and Cu Kα, 1.54184 Å.
Intensities are scaled so that the largest is 100.

Unit cell a=5.998 b=5.154 c=6.061 alpha=90.00 beta=111.88 gamma=90.00
Positions (direct):
Pu: 0.109 0.250 0.376
Pu: 0.325 0.750 0.169
Pu: 0.675 0.250 0.831
Pu: 0.891 0.750 0.624
As: 0.190 0.250 0.891
As: 0.810 0.750 0.109
Pd: 0.404 0.750 0.689
Pd: 0.596 0.250 0.311

Largest 10 diffraction maxima, in order of rising 2θ, 2θ from 5° to 70°:
- 24.82°, I = 45.9
- 26.39°, I = 31.1
- 34.59°, I = 17.4
- 34.82°, I = 98.5
- 35.96°, I = 34.8
- 36.39°, I = 100.0
- 36.70°, I = 94.3
- 50.92°, I = 27.1
- 63.45°, I = 20.3
- 63.66°, I = 19.4

=====

(4)
Diffraction record for Rb2As4Pd3. The powder diffraction line list is computed, not measured: it uses a PBE-relaxed structure and Cu Kα, 1.54184 Å.
Intensities are scaled so that the largest is 100.

Unit cell a=6.957 b=15.752 c=4.801 alpha=90.00 beta=100.45 gamma=90.00
Positions (direct):
Rb: 0.182 0.117 0.018
Rb: 0.182 0.383 0.518
Rb: 0.818 0.617 0.482
Rb: 0.818 0.883 0.982
As: 0.188 0.568 0.087
As: 0.188 0.932 0.587
As: 0.389 0.642 0.807
As: 0.389 0.858 0.307
As: 0.611 0.142 0.693
As: 0.611 0.358 0.193
As: 0.812 0.068 0.413
As: 0.812 0.432 0.913
Pd: 0.337 0.701 0.326
Pd: 0.337 0.799 0.826
Pd: 0.500 0.000 0.500
Pd: 0.500 0.500 0.000
Pd: 0.663 0.201 0.174
Pd: 0.663 0.299 0.674

Largest 10 diffraction maxima, in order of rising 2θ, 2θ from 5° to 70°:
- 12.94°, I = 62.2
- 14.11°, I = 100.0
- 25.38°, I = 62.2
- 26.67°, I = 60.7
- 27.28°, I = 47.5
- 31.50°, I = 35.6
- 38.44°, I = 29.8
- 41.19°, I = 33.4
- 45.58°, I = 41.7
- 50.33°, I = 25.0

=====

(5)
Diffraction record for RbAs4Pd4. The powder diffraction line list is computed, not measured: it uses a PBE-relaxed structure and Cu Kα, 1.54184 Å.
Intensities are scaled so that the largest is 100.

Unit cell a=6.687 b=6.687 c=6.687 alpha=97.36 beta=97.36 gamma=138.05
Positions (direct):
Rb: 0.000 0.000 0.000
As: 0.212 0.353 0.566
As: 0.353 0.788 0.141
As: 0.647 0.212 0.859
As: 0.788 0.647 0.434
Pd: 0.098 0.626 0.724
Pd: 0.374 0.098 0.472
Pd: 0.626 0.902 0.528
Pd: 0.902 0.374 0.276

Largest 10 diffraction maxima, in order of rising 2θ, 2θ from 5° to 70°:
- 14.18°, I = 82.7
- 29.32°, I = 21.7
- 32.05°, I = 88.4
- 35.81°, I = 20.2
- 37.58°, I = 58.9
- 40.88°, I = 15.6
- 41.41°, I = 100.0
- 46.45°, I = 28.9
- 50.20°, I = 49.0
- 67.41°, I = 14.1

=====

(6)
Diffraction record for Rb2As2Pd3. The powder diffraction line list is computed, not measured: it uses a PBE-relaxed structure and Cu Kα, 1.54184 Å.
Intensities are scaled so that the largest is 100.

Unit cell a=6.801 b=6.801 c=8.075 alpha=120.79 beta=120.79 gamma=34.80
Positions (direct):
Rb: 0.121 0.121 0.261
Rb: 0.879 0.879 0.739
As: 0.147 0.147 0.718
As: 0.853 0.853 0.282
Pd: 0.331 0.331 0.096
Pd: 0.500 0.500 0.500
Pd: 0.669 0.669 0.904

Largest 10 diffraction maxima, in order of rising 2θ, 2θ from 5° to 70°:
- 14.32°, I = 100.0
- 28.86°, I = 71.2
- 30.16°, I = 68.5
- 32.96°, I = 22.6
- 38.58°, I = 71.6
- 42.34°, I = 25.0
- 44.55°, I = 31.5
- 47.09°, I = 27.7
- 50.62°, I = 29.2
- 55.17°, I = 27.2